ThPaGe2O8: simulated powder XRD pattern (Cu Kα X-rays), based on a structure optimized by DFT (GGA-PBE).

Cell and atoms:
a = 7.243 Å, b = 7.243 Å, c = 6.607 Å
α = 90.00°, β = 90.00°, γ = 90.00°
Space group I-4m2 (No. 119)
Asymmetric unit:
1 Th 0.000 0.000 0.000 x2
2 Pa 0.000 0.500 0.250 x2
3 Ge 0.000 0.000 0.500 x2
4 Ge 0.000 0.500 0.750 x2
5 O 0.000 0.185 0.321 x8
6 O 0.000 0.319 0.931 x8

The 8 most intense peaks (15° ≤ 2θ ≤ 90°), in order of falling intensity:
d (Å)	2θ (°)	I_rel
3.621	24.58	100
2.776	32.25	82
1.882	48.36	65
4.881	18.17	43
2.561	35.04	27
1.517	61.10	19
1.620	56.85	16
2.908	30.74	16